# 1
# Cs2HgMoF6
Simulated XRD peak list, a wavelength of 1.5418 Å. Input: a crystal structure in the Materials Project, relaxed with GGA+U.

Structural model:
abc: 7.0767 7.0767 7.0767
angles: 60.00 60.00 60.00
Atoms (fractional coordinates):
Cs1 0.2500 0.2500 0.2500
Cs2 0.7500 0.7500 0.7500
Hg1 0.0000 0.0000 0.0000
Mo1 0.5000 0.5000 0.5000
F1 0.3015 0.3015 0.6985
F2 0.3015 0.6985 0.3015
F3 0.3015 0.6985 0.6985
F4 0.6985 0.3015 0.3015
F5 0.6985 0.3015 0.6985
F6 0.6985 0.6985 0.3015

Main lines, by angle (15° ≤ 2θ ≤ 90°):
2θ 25.2, 3.538 Å, I = 100
2θ 35.9, 2.502 Å, I = 29
2θ 44.3, 2.043 Å, I = 40
2θ 51.7, 1.769 Å, I = 18
2θ 58.3, 1.582 Å, I = 23
2θ 70.4, 1.337 Å, I = 24

***

# 2
# Cs2KMn3F12
Simulated XRD peak list, a wavelength of 1.5418 Å. Input: a crystal structure in the Materials Project, relaxed with GGA+U.

Structural model:
abc: 7.7515 7.7515 12.9644
angles: 106.26 106.26 59.97
Atoms (fractional coordinates):
Cs1 0.0250 0.5955 0.6775
Cs2 0.4045 0.9750 0.8225
Cs3 0.5955 0.0250 0.1775
Cs4 0.9750 0.4045 0.3225
K1 0.2721 0.7279 0.2500
K2 0.7279 0.2721 0.7500
Mn1 0.0000 0.0000 0.0000
Mn2 0.0000 0.0000 0.5000
Mn3 0.0000 0.5000 0.0000
Mn4 0.5000 0.0000 0.5000
Mn5 0.5000 0.5000 0.0000
Mn6 0.5000 0.5000 0.5000
F1 0.0115 0.9539 0.8532
F2 0.0135 0.3926 0.8524
F3 0.0461 0.9885 0.6468
F4 0.0878 0.2380 0.0298
F5 0.1818 0.7159 0.4713
F6 0.2380 0.0878 0.5298
F7 0.2841 0.8182 0.0287
F8 0.3215 0.4291 0.0362
F9 0.3926 0.0135 0.3524
F10 0.3953 0.4620 0.8520
F11 0.4291 0.3215 0.5362
F12 0.4620 0.3953 0.3520
F13 0.5380 0.6047 0.6480
F14 0.5709 0.6785 0.4638
F15 0.6047 0.5380 0.1480
F16 0.6074 0.9865 0.6476
F17 0.6785 0.5709 0.9638
F18 0.7159 0.1818 0.9713
F19 0.7620 0.9122 0.4702
F20 0.8182 0.2841 0.5287
F21 0.9122 0.7620 0.9702
F22 0.9539 0.0115 0.3532
F23 0.9865 0.6074 0.1476
F24 0.9885 0.0461 0.1468

Main lines, by angle (15° ≤ 2θ ≤ 90°):
2θ 23.0, 3.875 Å, I = 36
2θ 23.6, 3.774 Å, I = 49
2θ 27.0, 3.307 Å, I = 100
2θ 27.1, 3.288 Å, I = 34
2θ 27.5, 3.245 Å, I = 68
2θ 46.9, 1.937 Å, I = 44

***

# 3
# Cs2KNiF6
Simulated XRD peak list, a wavelength of 1.5418 Å. Input: a crystal structure in the Materials Project, relaxed with GGA+U.

Structural model:
abc: 6.4300 6.4300 6.4300
angles: 60.00 60.00 60.00
Atoms (fractional coordinates):
Cs1 0.2500 0.2500 0.2500
Cs2 0.7500 0.7500 0.7500
K1 0.0000 0.0000 0.0000
Ni1 0.5000 0.5000 0.5000
F1 0.2873 0.2873 0.7127
F2 0.2873 0.7127 0.2873
F3 0.2873 0.7127 0.7127
F4 0.7127 0.2873 0.2873
F5 0.7127 0.2873 0.7127
F6 0.7127 0.7127 0.2873

Main lines, by angle (15° ≤ 2θ ≤ 90°):
2θ 27.7, 3.215 Å, I = 100
2θ 34.2, 2.625 Å, I = 23
2θ 39.6, 2.273 Å, I = 37
2θ 49.1, 1.856 Å, I = 37
2θ 57.3, 1.607 Å, I = 21
2θ 78.8, 1.215 Å, I = 21

***

# 4
# Cs2KVF6
Simulated XRD peak list, a wavelength of 1.5418 Å. Input: a crystal structure in the Materials Project, relaxed with GGA+U.

Structural model:
abc: 6.5263 6.5263 6.5263
angles: 60.00 60.00 60.00
Atoms (fractional coordinates):
Cs1 0.2500 0.2500 0.2500
Cs2 0.7500 0.7500 0.7500
K1 0.0000 0.0000 0.0000
V1 0.5000 0.5000 0.5000
F1 0.2843 0.2843 0.7157
F2 0.2843 0.7157 0.2843
F3 0.2843 0.7157 0.7157
F4 0.7157 0.2843 0.2843
F5 0.7157 0.2843 0.7157
F6 0.7157 0.7157 0.2843

Main lines, by angle (15° ≤ 2θ ≤ 90°):
2θ 27.3, 3.263 Å, I = 100
2θ 33.6, 2.664 Å, I = 29
2θ 39.0, 2.307 Å, I = 38
2θ 48.3, 1.884 Å, I = 37
2θ 56.4, 1.632 Å, I = 23
2θ 77.4, 1.233 Å, I = 21

***

# 5
# CsK2VF6
Simulated XRD peak list, a wavelength of 1.5418 Å. Input: a crystal structure in the Materials Project, relaxed with GGA+U.

Structural model:
abc: 6.6821 6.6821 6.6821
angles: 60.00 60.00 60.00
Atoms (fractional coordinates):
Cs1 0.0000 0.0000 0.0000
K1 0.2500 0.2500 0.2500
K2 0.7500 0.7500 0.7500
V1 0.5000 0.5000 0.5000
F1 0.2928 0.2928 0.7072
F2 0.2928 0.7072 0.2928
F3 0.2928 0.7072 0.7072
F4 0.7072 0.2928 0.2928
F5 0.7072 0.2928 0.7072
F6 0.7072 0.7072 0.2928

Main lines, by angle (15° ≤ 2θ ≤ 90°):
2θ 18.8, 4.725 Å, I = 45
2θ 26.7, 3.341 Å, I = 100
2θ 38.1, 2.362 Å, I = 44
2θ 47.1, 1.929 Å, I = 33
2θ 55.0, 1.671 Å, I = 24
2θ 62.1, 1.494 Å, I = 22

***

# 6
# Cs2LiMoF6
Simulated XRD peak list, a wavelength of 1.5418 Å. Input: a crystal structure in the Materials Project, relaxed with GGA+U.

Structural model:
abc: 6.2211 6.2211 6.2211
angles: 60.00 60.00 60.00
Atoms (fractional coordinates):
Cs1 0.2500 0.2500 0.2500
Cs2 0.7500 0.7500 0.7500
Li1 0.0000 0.0000 0.0000
Mo1 0.5000 0.5000 0.5000
F1 0.2610 0.2610 0.7390
F2 0.2610 0.7390 0.2610
F3 0.2610 0.7390 0.7390
F4 0.7390 0.2610 0.2610
F5 0.7390 0.2610 0.7390
F6 0.7390 0.7390 0.2610

Main lines, by angle (15° ≤ 2θ ≤ 90°):
2θ 17.5, 5.079 Å, I = 22
2θ 28.7, 3.111 Å, I = 100
2θ 35.3, 2.540 Å, I = 27
2θ 41.0, 2.199 Å, I = 41
2θ 50.8, 1.796 Å, I = 40
2θ 59.4, 1.555 Å, I = 25

***

# 7
# Cs2LiV3F12
Simulated XRD peak list, a wavelength of 1.5418 Å. Input: a crystal structure in the Materials Project, relaxed with GGA+U.

Structural model:
abc: 7.4451 7.4451 7.4451
angles: 60.94 60.94 60.94
Atoms (fractional coordinates):
Cs1 0.1365 0.1365 0.1365
Cs2 0.8635 0.8635 0.8635
Li1 0.5000 0.5000 0.5000
V1 0.0000 0.5000 0.5000
V2 0.5000 0.0000 0.5000
V3 0.5000 0.5000 0.0000
F1 0.1705 0.5689 0.5689
F2 0.1835 0.1835 0.5688
F3 0.1835 0.5688 0.1835
F4 0.4311 0.4311 0.8295
F5 0.4312 0.8165 0.8165
F6 0.4311 0.8295 0.4311
F7 0.5689 0.1705 0.5689
F8 0.5688 0.1835 0.1835
F9 0.5689 0.5689 0.1705
F10 0.8165 0.4312 0.8165
F11 0.8165 0.8165 0.4312
F12 0.8295 0.4311 0.4311

Main lines, by angle (15° ≤ 2θ ≤ 90°):
2θ 23.6, 3.776 Å, I = 26
2θ 23.9, 3.722 Å, I = 60
2θ 27.7, 3.218 Å, I = 70
2θ 27.9, 3.201 Å, I = 100
2θ 44.2, 2.050 Å, I = 36
2θ 48.2, 1.888 Å, I = 35

***

# 8
# CsMnF4
Simulated XRD peak list, a wavelength of 1.5418 Å. Input: a crystal structure in the Materials Project, relaxed with GGA+U.

Structural model:
abc: 8.1229 8.1229 6.4858
angles: 90.00 90.00 90.00
Atoms (fractional coordinates):
Cs1 0.2500 0.2500 0.0520
Cs2 0.2500 0.7500 0.0000
Cs3 0.7500 0.2500 0.0000
Cs4 0.7500 0.7500 0.9480
Mn1 0.0000 0.0000 0.5000
Mn2 0.0000 0.5000 0.5000
Mn3 0.5000 0.0000 0.5000
Mn4 0.5000 0.5000 0.5000
F1 0.0025 0.7673 0.5482
F2 0.0251 0.0317 0.7835
F3 0.0317 0.4749 0.7835
F4 0.2327 0.5025 0.4518
F5 0.2673 0.9975 0.4518
F6 0.4683 0.0251 0.7835
F7 0.4749 0.4683 0.7835
F8 0.4975 0.7327 0.5482
F9 0.5025 0.2673 0.4518
F10 0.5251 0.5317 0.2165
F11 0.5317 0.9749 0.2165
F12 0.7327 0.0025 0.5482
F13 0.7673 0.4975 0.5482
F14 0.9683 0.5251 0.2165
F15 0.9749 0.9683 0.2165
F16 0.9975 0.2327 0.4518

Main lines, by angle (15° ≤ 2θ ≤ 90°):
2θ 25.9, 3.442 Å, I = 100
2θ 27.5, 3.243 Å, I = 20
2θ 31.1, 2.872 Å, I = 33
2θ 34.1, 2.626 Å, I = 20
2θ 44.6, 2.031 Å, I = 23
2θ 52.3, 1.749 Å, I = 28